Diffraction record for Cs2TmTiO4. The powder XRD pattern is calculated, not measured: it uses a DFT-relaxed cell (PBE, Alexandria) and Cu Kα X-rays.
No peak broadening, texture or thermal motion is included.

Atomic structure:
```
Cs2TmTiO4
1.0
0.000 6.781 11.955
2.931 0.000 11.955
2.931 6.781 0.000
Cs Tm Ti O
4 2 2 8
Cartesian
2.198 5.085 1.269
3.664 8.476 7.247
2.198 5.085 16.663
3.664 8.476 22.641
0.733 1.695 2.989
5.130 11.866 20.921
2.198 5.085 8.966
3.664 8.476 14.944
3.459 4.062 8.066
3.459 6.109 9.867
4.925 7.452 15.844
4.925 9.499 14.043
0.938 4.062 9.867
0.938 6.109 8.066
2.403 7.452 14.043
2.403 9.499 15.844
```

Principal peaks in the range 2θ from 10° to 80°, by intensity:
2θ (°)  I/Imax
25.93  100
16.89  57
33.30  48
26.29  47
31.21  43
24.91  42
46.89  39
14.82  35